Entry 1:
Computed X-ray powder pattern
Compound: MnCr4CoS8
Radiation: CuKα
Structure: a cell relaxed with GGA-PBE
Peak positions follow from Bragg's law for the DFT cell and can differ from measured ones.

Cell and atoms:
Unit cell a=7.061 b=7.061 c=7.061 alpha=60.00 beta=60.00 gamma=60.00
Fractional coordinates of all 14 atoms:
Mn 0.000 0.000 0.000
Cr 0.129 0.624 0.624
Cr 0.624 0.129 0.624
Cr 0.624 0.624 0.129
Cr 0.624 0.624 0.624
Co 0.250 0.250 0.250
S 0.382 0.382 0.382
S 0.382 0.382 0.854
S 0.382 0.854 0.382
S 0.406 0.865 0.865
S 0.854 0.382 0.382
S 0.865 0.406 0.865
S 0.865 0.865 0.406
S 0.865 0.865 0.865

Principal peaks in the range 5° ≤ 2θ ≤ 70°, by angle:
- 2θ 25.22, I = 33
- 2θ 29.67, I = 100
- 2θ 35.97, I = 54
- 2θ 44.44, I = 12
- 2θ 47.30, I = 47
- 2θ 51.79, I = 92

---

Entry 2:
Computed X-ray powder pattern
Compound: CrCoMo2
Radiation: CuKα
Structure: a cell relaxed with GGA-PBE
Peak positions follow from Bragg's law for the DFT cell and can differ from measured ones.

Cell and atoms:
Unit cell a=2.613 b=4.276 c=4.977 alpha=90.00 beta=99.50 gamma=90.00
Fractional coordinates of all 4 atoms:
Cr 0.000 0.000 0.000
Co 0.230 0.500 0.748
Mo 0.526 0.000 0.512
Mo 0.762 0.500 0.232

Principal peaks in the range 5° ≤ 2θ ≤ 70°, by angle:
- 2θ 18.07, I = 4
- 2θ 27.66, I = 8
- 2θ 42.24, I = 51
- 2θ 42.46, I = 100
- 2θ 61.26, I = 16
- 2θ 61.95, I = 7

---

Entry 3:
Computed X-ray powder pattern
Compound: Cr2CoMo
Radiation: CuKα
Structure: a cell relaxed with GGA-PBE
Peak positions follow from Bragg's law for the DFT cell and can differ from measured ones.

Cell and atoms:
Unit cell a=4.105 b=4.105 c=3.014 alpha=90.00 beta=90.00 gamma=90.00
Fractional coordinates of all 4 atoms:
Cr 0.000 0.500 0.000
Cr 0.500 0.000 0.000
Co 0.000 0.000 0.500
Mo 0.500 0.500 0.500

Principal peaks in the range 5° ≤ 2θ ≤ 70°, by angle:
- 2θ 21.65, I = 6
- 2θ 30.80, I = 5
- 2θ 43.27, I = 100
- 2θ 44.12, I = 47
- 2θ 61.53, I = 8
- 2θ 64.16, I = 14

---

Entry 4:
Computed X-ray powder pattern
Compound: CrCo2Mo2
Radiation: CuKα
Structure: a cell relaxed with GGA-PBE
Peak positions follow from Bragg's law for the DFT cell and can differ from measured ones.

Cell and atoms:
Unit cell a=6.073 b=6.073 c=3.563 alpha=90.00 beta=90.00 gamma=90.00
Fractional coordinates of all 10 atoms:
Cr 0.000 0.000 0.000
Cr 0.500 0.500 0.000
Co 0.131 0.369 0.000
Co 0.369 0.869 0.000
Co 0.631 0.131 0.000
Co 0.869 0.631 0.000
Mo 0.173 0.673 0.500
Mo 0.327 0.173 0.500
Mo 0.673 0.827 0.500
Mo 0.827 0.327 0.500

Principal peaks in the range 5° ≤ 2θ ≤ 70°, by angle:
- 2θ 38.97, I = 27
- 2θ 41.82, I = 100
- 2θ 42.08, I = 6
- 2θ 47.33, I = 28
- 2θ 51.28, I = 17
- 2θ 68.99, I = 12

---

Entry 5:
Computed X-ray powder pattern
Compound: Cr3Co2N
Radiation: CuKα
Structure: a cell relaxed with GGA-PBE
Peak positions follow from Bragg's law for the DFT cell and can differ from measured ones.

Cell and atoms:
Unit cell a=6.242 b=6.242 c=6.242 alpha=90.00 beta=90.00 gamma=90.00
Fractional coordinates of all 24 atoms:
Cr 0.047 0.125 0.797
Cr 0.125 0.797 0.047
Cr 0.203 0.547 0.375
Cr 0.297 0.453 0.875
Cr 0.375 0.203 0.547
Cr 0.453 0.875 0.297
Cr 0.547 0.375 0.203
Cr 0.625 0.703 0.953
Cr 0.703 0.953 0.625
Cr 0.797 0.047 0.125
Cr 0.875 0.297 0.453
Cr 0.953 0.625 0.703
Co 0.068 0.932 0.432
Co 0.182 0.182 0.182
Co 0.318 0.818 0.682
Co 0.432 0.068 0.932
Co 0.568 0.568 0.568
Co 0.682 0.318 0.818
Co 0.818 0.682 0.318
Co 0.932 0.432 0.068
N 0.125 0.375 0.625
N 0.375 0.625 0.125
N 0.625 0.125 0.375
N 0.875 0.875 0.875

Principal peaks in the range 5° ≤ 2θ ≤ 70°, by angle:
- 2θ 43.49, I = 100
- 2θ 45.98, I = 53
- 2θ 48.36, I = 26
- 2θ 55.04, I = 13
- 2θ 63.20, I = 5
- 2θ 67.05, I = 4

---

Entry 6:
Computed X-ray powder pattern
Compound: Cr2CoOsN
Radiation: CuKα
Structure: a cell relaxed with GGA-PBE
Peak positions follow from Bragg's law for the DFT cell and can differ from measured ones.

Cell and atoms:
Unit cell a=3.812 b=3.812 c=3.749 alpha=90.00 beta=90.00 gamma=90.00
Fractional coordinates of all 5 atoms:
Cr 0.000 0.500 0.000
Cr 0.500 0.000 0.000
Co 0.000 0.000 0.500
Os 0.500 0.500 0.500
N 0.000 0.000 0.000

Principal peaks in the range 5° ≤ 2θ ≤ 70°, by angle:
- 2θ 23.34, I = 22
- 2θ 33.24, I = 18
- 2θ 33.53, I = 29
- 2θ 41.25, I = 100
- 2θ 47.72, I = 37
- 2θ 48.57, I = 18